Diffraction record for Sr3Ac3YS8. The powder X-ray diffraction pattern is simulated, not measured: it uses a cell relaxed with GGA-PBE and Cu Ka.

Main lines, low angle first (2θ from 5° to 70°):
- 12.7°, intensity 37
- 24.5°, intensity 23
- 25.6°, intensity 48
- 29.6°, intensity 100
- 42.3°, intensity 37
- 42.5°, intensity 36
- 50.2°, intensity 26
- 52.6°, intensity 19

Cell lengths 8.543, 8.543, 8.543 Å; angles 59.79, 59.79, 59.79 degrees
Atoms (fractional coordinates):
Sr 0.000 0.500 0.500
Sr 0.500 0.000 0.500
Sr 0.500 0.500 0.000
Ac 0.000 0.000 0.500
Ac 0.000 0.500 0.000
Ac 0.500 0.000 0.000
Y 0.500 0.500 0.500
S 0.251 0.251 0.251
S 0.267 0.732 0.732
S 0.268 0.268 0.733
S 0.268 0.733 0.268
S 0.732 0.267 0.732
S 0.732 0.732 0.267
S 0.733 0.268 0.268
S 0.749 0.749 0.749